Diffraction record for BaP2Ir2. The XRD peak list is calculated, not measured: it uses DFT lattice parameters and positions (PBE) and λ = 1.5418 Å (Cu Kα).

Crystal structure
```
data_BaP2Ir2
_cell_length_a 3.991
_cell_length_b 3.991
_cell_length_c 12.792
_cell_angle_alpha 90.00
_cell_angle_beta 90.00
_cell_angle_gamma 90.00
_symmetry_space_group_name_H-M 'I 4/m m m'
_symmetry_Int_Tables_number 139
_symmetry_space_group_name_Hall '-I 4 2'
loop_
_atom_site_label
_atom_site_type_symbol
_atom_site_fract_x
_atom_site_fract_y
_atom_site_fract_z
Ba1 Ba 0.000 0.000 0.000
P1 P 0.000 0.000 0.351
Ir1 Ir 0.000 0.500 0.250
```

Main lines, by angle (2θ from 10° to 90°):
- hkl 0 0 2, 2θ 13.85, I 65
- hkl 0 0 4, 2θ 27.90, I 38
- hkl 1 1 2, 2θ 34.75, I 100
- hkl 2 0 0, 2θ 45.46, I 32
- hkl 1 1 6, 2θ 53.90, I 37
- hkl 2 0 4, 2θ 54.18, I 25

Diffraction record for PPd4. The XRD peak list is calculated, not measured: it uses DFT lattice parameters and positions (PBE) and λ = 1.5418 Å (Cu Kα).

Crystal structure
```
data_PPd4
_cell_length_a 5.206
_cell_length_b 7.657
_cell_length_c 5.750
_cell_angle_alpha 90.00
_cell_angle_beta 90.30
_cell_angle_gamma 90.00
_symmetry_space_group_name_H-M 'P 1 m 1'
_symmetry_Int_Tables_number 6
loop_
_symmetry_equiv_pos_as_xyz
'x,y,z'
'x,-y,z'
loop_
_atom_site_label
_atom_site_type_symbol
_atom_site_fract_x
_atom_site_fract_y
_atom_site_fract_z
P1 P 0.000 0.000 0.000
P2 P 0.091 0.500 0.234
P3 P 0.590 0.000 0.505
Pd1 Pd 0.173 0.000 0.632
Pd2 Pd 0.217 0.314 0.932
Pd3 Pd 0.377 0.315 0.440
Pd4 Pd 0.418 0.000 0.132
Pd5 Pd 0.675 0.500 0.081
Pd6 Pd 0.716 0.193 0.797
Pd7 Pd 0.873 0.190 0.295
Pd8 Pd 0.900 0.500 0.595
```

Main lines, by angle (2θ from 10° to 90°):
- hkl 1 2 1, 2θ 32.96, I 41
- hkl 1 1 -2, 2θ 37.54, I 33
- hkl 0 2 2, 2θ 39.19, I 70
- hkl 1 3 0, 2θ 39.32, I 100
- hkl 2 1 1, 2θ 39.87, I 36
- hkl 1 3 1, 2θ 42.47, I 32